The following is a simulated powder XRD pattern of KAsClO2. It was derived from a crystal structure in Alexandria, relaxed with PBE, using λ = 1.5418 Å (Cu Kα).
Kinematic intensities with the Lorentz-polarization factor, no thermal factor.

The 12 most intense peaks (10° ≤ 2θ ≤ 80°), most intense first:
6.986 Å, 12.67°, rel. 100, (1 0 0); 3.545 Å, 25.12°, rel. 65, (1 1 0); 2.663 Å, 33.66°, rel. 58, (1 0 2); 3.402 Å, 26.19°, rel. 45, (2 0 -2); 6.805 Å, 13.01°, rel. 37, (1 0 -1); 2.856 Å, 31.32°, rel. 33, (1 1 -2); 3.522 Å, 25.29°, rel. 33, (1 1 -1); 2.058 Å, 44.01°, rel. 25, (0 2 0); 4.073 Å, 21.82°, rel. 24, (1 0 1); 2.895 Å, 30.89°, rel. 21, (1 1 1); 2.202 Å, 40.98°, rel. 20, (3 1 -1); 3.498 Å, 25.46°, rel. 18, (0 0 2)

Atomic structure:
Cell: 7.919 4.115 7.942 Å, 90.00 118.20 90.00°
Space group P2_1/m (No. 11)
Symmetry-distinct sites (fractional):
1 K 0.225 0.250 0.499 [2 per cell]
2 As 0.113 0.250 0.943 [2 per cell]
3 Cl 0.458 0.250 0.247 [2 per cell]
4 O 0.023 0.250 0.702 [2 per cell]
5 O 0.075 0.750 0.978 [2 per cell]